Entry 1:
For BaAl2O4, a cell relaxed with GGA-PBE gives the computed powder XRD pattern in this record (Cu Ka).

Structure:
a = 10.5847 Å, b = 10.5847 Å, c = 8.8741 Å
α = 90.00°, β = 90.00°, γ = 120.00°
Space group P6_3 (No. 173)
Unique sites:
Ba 0.0000 0.0000 0.0000 (multiplicity 2)
Ba 0.0084 0.5010 0.0097 (multiplicity 6)
Al 0.1537 0.3283 0.7028 (multiplicity 6)
Al 0.1548 0.3309 0.3164 (multiplicity 6)
Al 0.3333 0.6667 0.1996 (multiplicity 2)
Al 0.3333 0.6667 0.7985 (multiplicity 2)
O 0.9995 0.3123 0.7995 (multiplicity 6)
O 0.0026 0.1812 0.2322 (multiplicity 6)
O 0.1104 0.3214 0.5096 (multiplicity 6)
O 0.1803 0.5007 0.2541 (multiplicity 6)
O 0.1828 0.6855 0.7414 (multiplicity 6)
O 0.3333 0.6667 0.9990 (multiplicity 2)

Most intense lines, 15 to 90 degrees two-theta, low angle first:
Position (°2θ)  d_spacing  I/Imax  (hkl)
19.37  4.583  43  2 0 0
27.99  3.188  100  2 0 2
33.88  2.646  40  2 2 0
39.66  2.273  26  2 2 2
44.50  2.036  23  4 0 2
45.42  1.997  15  2 0 4
53.93  1.700  13  2 2 4
57.07  1.614  25  4 2 2
60.61  1.528  12  6 0 0
78.23  1.222  12  2 6 2



Entry 2:
For BaAl2O6, a cell relaxed with GGA-PBE gives the computed powder XRD pattern in this record (Cu Ka).

Structure:
a = 5.632 Å, b = 5.632 Å, c = 10.387 Å
α = 101.84°, β = 101.74°, γ = 103.81°
Space group P1 (No. 1)
Unique sites:
Ba 0.000 0.000 0.000 (multiplicity 1)
Ba 0.254 0.751 0.501 (multiplicity 1)
Al 0.374 0.638 0.162 (multiplicity 1)
Al 0.466 0.227 0.337 (multiplicity 1)
Al 0.478 0.210 0.838 (multiplicity 1)
Al 0.891 0.123 0.662 (multiplicity 1)
O 0.154 0.080 0.765 (multiplicity 1)
O 0.166 0.562 0.994 (multiplicity 1)
O 0.313 0.386 0.234 (multiplicity 1)
O 0.335 0.903 0.267 (multiplicity 1)
O 0.437 0.326 0.507 (multiplicity 1)
O 0.567 0.172 0.007 (multiplicity 1)
O 0.621 0.550 0.892 (multiplicity 1)
O 0.639 0.063 0.735 (multiplicity 1)
O 0.658 0.721 0.105 (multiplicity 1)
O 0.805 0.375 0.390 (multiplicity 1)
O 0.818 0.919 0.494 (multiplicity 1)
O 0.974 0.407 0.605 (multiplicity 1)

Most intense lines, 15 to 90 degrees two-theta, low angle first:
Position (°2θ)  d_spacing  I/Imax  (hkl)
16.83  5.268  100  0 1 -1
18.10  4.900  59  0 0 2
21.19  4.194  76  0 1 -2
22.01  4.038  95  -1 1 1
27.18  3.281  48  1 1 0
28.00  3.186  70  1 0 -3
33.27  2.693  53  2 -1 0
35.77  2.510  42  -2 1 2
36.02  2.494  46  1 0 3
37.65  2.389  57  0 2 -3



Entry 3:
For BaAl4O7, a cell relaxed with GGA-PBE gives the computed powder XRD pattern in this record (Cu Ka).

Structure:
a = 13.047 Å, b = 4.961 Å, c = 10.361 Å
α = 90.00°, β = 90.00°, γ = 90.00°
Space group Pmc2_1 (No. 26)
Unique sites:
Ba 0.000 0.017 0.000 (multiplicity 2)
Ba 0.500 0.473 0.675 (multiplicity 2)
Al 0.118 0.453 0.240 (multiplicity 4)
Al 0.249 0.452 0.989 (multiplicity 4)
Al 0.251 0.051 0.676 (multiplicity 4)
Al 0.382 0.041 0.426 (multiplicity 4)
O 0.000 0.462 0.672 (multiplicity 2)
O 0.134 0.452 0.901 (multiplicity 4)
O 0.136 0.103 0.221 (multiplicity 4)
O 0.218 0.395 0.642 (multiplicity 4)
O 0.282 0.109 0.025 (multiplicity 4)
O 0.362 0.392 0.441 (multiplicity 4)
O 0.365 0.061 0.765 (multiplicity 4)
O 0.500 0.043 0.993 (multiplicity 2)

Most intense lines, 15 to 90 degrees two-theta, low angle first:
Position (°2θ)  d_spacing  I/Imax  (hkl)
24.85  3.583  22  0 1 2
25.79  3.455  23  1 1 2
26.76  3.331  45  3 0 2
27.28  3.269  61  3 1 0
28.42  3.141  100  2 1 2
32.44  2.760  28  4 0 2
34.63  2.590  19  0 0 4
36.21  2.480  32  0 2 0
37.29  2.411  17  4 1 2
41.70  2.166  17  2 1 4



Entry 4:
For BaAl2O4, a cell relaxed with GGA-PBE gives the computed powder XRD pattern in this record (Cu Ka).

Structure:
a = 5.2673 Å, b = 5.2673 Å, c = 8.9810 Å
α = 90.00°, β = 90.00°, γ = 120.00°
Space group P6_322 (No. 182)
Unique sites:
Ba 0.0000 0.0000 0.2500 (multiplicity 2)
Al 0.3333 0.6667 0.0541 (multiplicity 4)
O 0.0000 0.3557 0.0000 (multiplicity 6)
O 0.3333 0.6667 0.2500 (multiplicity 2)

Most intense lines, 15 to 90 degrees two-theta, low angle first:
Position (°2θ)  d_spacing  I/Imax  (hkl)
19.46  4.562  44  1 0 0
27.88  3.200  100  1 0 2
34.04  2.634  42  1 1 0
39.67  2.272  29  1 1 2
40.16  2.245  12  0 0 4
44.56  2.034  23  2 0 2
45.00  2.014  16  1 0 4
53.64  1.709  13  1 1 4
57.24  1.610  25  2 1 2
60.93  1.521  14  3 0 0



Please write out number 2 again, unchanged.
For BaAl2O6, a cell relaxed with GGA-PBE gives the computed powder XRD pattern in this record (Cu Ka).

Structure:
a = 5.632 Å, b = 5.632 Å, c = 10.387 Å
α = 101.84°, β = 101.74°, γ = 103.81°
Space group P1 (No. 1)
Unique sites:
Ba 0.000 0.000 0.000 (multiplicity 1)
Ba 0.254 0.751 0.501 (multiplicity 1)
Al 0.374 0.638 0.162 (multiplicity 1)
Al 0.466 0.227 0.337 (multiplicity 1)
Al 0.478 0.210 0.838 (multiplicity 1)
Al 0.891 0.123 0.662 (multiplicity 1)
O 0.154 0.080 0.765 (multiplicity 1)
O 0.166 0.562 0.994 (multiplicity 1)
O 0.313 0.386 0.234 (multiplicity 1)
O 0.335 0.903 0.267 (multiplicity 1)
O 0.437 0.326 0.507 (multiplicity 1)
O 0.567 0.172 0.007 (multiplicity 1)
O 0.621 0.550 0.892 (multiplicity 1)
O 0.639 0.063 0.735 (multiplicity 1)
O 0.658 0.721 0.105 (multiplicity 1)
O 0.805 0.375 0.390 (multiplicity 1)
O 0.818 0.919 0.494 (multiplicity 1)
O 0.974 0.407 0.605 (multiplicity 1)

Most intense lines, 15 to 90 degrees two-theta, low angle first:
Position (°2θ)  d_spacing  I/Imax  (hkl)
16.83  5.268  100  0 1 -1
18.10  4.900  59  0 0 2
21.19  4.194  76  0 1 -2
22.01  4.038  95  -1 1 1
27.18  3.281  48  1 1 0
28.00  3.186  70  1 0 -3
33.27  2.693  53  2 -1 0
35.77  2.510  42  -2 1 2
36.02  2.494  46  1 0 3
37.65  2.389  57  0 2 -3



What did the first record say?
For BaAl2O4, a cell relaxed with GGA-PBE gives the computed powder XRD pattern in this record (Cu Ka).

Structure:
a = 10.5847 Å, b = 10.5847 Å, c = 8.8741 Å
α = 90.00°, β = 90.00°, γ = 120.00°
Space group P6_3 (No. 173)
Unique sites:
Ba 0.0000 0.0000 0.0000 (multiplicity 2)
Ba 0.0084 0.5010 0.0097 (multiplicity 6)
Al 0.1537 0.3283 0.7028 (multiplicity 6)
Al 0.1548 0.3309 0.3164 (multiplicity 6)
Al 0.3333 0.6667 0.1996 (multiplicity 2)
Al 0.3333 0.6667 0.7985 (multiplicity 2)
O 0.9995 0.3123 0.7995 (multiplicity 6)
O 0.0026 0.1812 0.2322 (multiplicity 6)
O 0.1104 0.3214 0.5096 (multiplicity 6)
O 0.1803 0.5007 0.2541 (multiplicity 6)
O 0.1828 0.6855 0.7414 (multiplicity 6)
O 0.3333 0.6667 0.9990 (multiplicity 2)

Most intense lines, 15 to 90 degrees two-theta, low angle first:
Position (°2θ)  d_spacing  I/Imax  (hkl)
19.37  4.583  43  2 0 0
27.99  3.188  100  2 0 2
33.88  2.646  40  2 2 0
39.66  2.273  26  2 2 2
44.50  2.036  23  4 0 2
45.42  1.997  15  2 0 4
53.93  1.700  13  2 2 4
57.07  1.614  25  4 2 2
60.61  1.528  12  6 0 0
78.23  1.222  12  2 6 2